[1]
This entry pairs a crystal structure of BaPtRh with its theoretical powder diffraction line list. Radiation: CuKα. Structure: the GGA-PBE geometry in Alexandria.
Neutral-atom scattering factors, no anomalous dispersion.

Most intense lines, 2θ from 10° to 90°, low angle first:
2theta, I/Imax, index
19.2, 25.3, 0 1 1
31.6, 45.6, 0 2 0
37.2, 100.0, 0 1 3
37.4, 81.2, 2 1 1
38.9, 39.8, 0 2 2
39.1, 38.6, 2 0 2
60.0, 41.2, 0 1 5
60.2, 14.4, 3 0 3
66.0, 34.6, 2 2 4
79.3, 14.7, 2 4 2

Atomic structure:
```
data_BaPtRh
_chemical_formula_sum 'Ba4 Pt4 Rh4'
_space_group_name_H-M_alt 'I m m a'
_space_group_IT_number 74
_space_group_name_Hall '-I 2b 2'
_cell_length_a 5.6376
_cell_length_b 5.6740
_cell_length_c 8.0058
_cell_angle_alpha 90.00
_cell_angle_beta 90.00
_cell_angle_gamma 90.00
loop_
_atom_site_label
_atom_site_type_symbol
_atom_site_fract_x
_atom_site_fract_y
_atom_site_fract_z
_atom_site_occupancy
Ba1 Ba 0.0000 0.2500 0.1259 1
Pt1 Pt 0.2500 0.2500 0.7500 1
Rh1 Rh 0.0000 0.0000 0.5000 1
```

---

[2]
This entry pairs a crystal structure of NaSnBH6 with its theoretical powder diffraction line list. Radiation: CuKα. Structure: the GGA-PBE geometry in Alexandria.
Neutral-atom scattering factors, no anomalous dispersion.

Most intense lines, 2θ from 10° to 90°, low angle first:
2theta, I/Imax, index
14.9, 54.7, 0 0 1
21.3, 100.0, 0 1 0
23.0, 35.8, 0 1 1
23.3, 35.8, 1 0 1
23.7, 44.7, 1 1 1
25.1, 26.9, 1 1 0
28.8, 28.9, 1 0 -1
28.9, 28.6, 0 1 -1
30.1, 29.7, 0 0 2
34.9, 22.1, 1 -1 0

Atomic structure:
```
data_NaSnBH6
_chemical_formula_sum 'Na1 Sn1 B1 H6'
_space_group_name_H-M_alt 'P 1'
_space_group_IT_number 1
_space_group_name_Hall 'P 1'
_cell_length_a 4.6118
_cell_length_b 4.6480
_cell_length_c 6.4296
_cell_angle_alpha 70.99
_cell_angle_beta 71.67
_cell_angle_gamma 67.49
loop_
_atom_site_label
_atom_site_type_symbol
_atom_site_fract_x
_atom_site_fract_y
_atom_site_fract_z
_atom_site_occupancy
Na1 Na 0.0000 0.0000 0.0000 1
Sn1 Sn 0.6844 0.6942 0.5387 1
B1 B 0.5969 0.5934 0.1598 1
H1 H 0.2715 0.7587 0.6972 1
H2 H 0.4676 0.4561 0.1009 1
H3 H 0.4968 0.5181 0.3701 1
H4 H 0.5016 0.8840 0.0854 1
H5 H 0.7772 0.2773 0.6900 1
H6 H 0.8904 0.4894 0.1049 1
```

---

[3]
This entry pairs a crystal structure of Tb3Te2C2 with its theoretical powder diffraction line list. Radiation: CuKα. Structure: the GGA-PBE geometry in Alexandria.
Neutral-atom scattering factors, no anomalous dispersion.

Most intense lines, 2θ from 10° to 90°, low angle first:
2theta, I/Imax, index
26.5, 50.8, 1 1 -2
26.8, 95.5, 0 2 1
30.3, 100.0, 2 1 -1
32.9, 41.4, 2 1 0
33.1, 23.0, 2 1 -2
33.6, 53.7, 1 2 1
34.9, 64.4, 1 0 2
37.1, 53.8, 1 1 -3
39.0, 23.4, 1 3 -1
55.3, 28.6, 3 1 1

Atomic structure:
```
data_Tb3Te2C2
_chemical_formula_sum 'Tb6 Te4 C4'
_space_group_name_H-M_alt 'P 1 21/c 1'
_space_group_IT_number 14
_space_group_name_Hall '-P 2ybc'
_cell_length_a 6.4008
_cell_length_b 7.5483
_cell_length_c 7.6679
_cell_angle_alpha 90.00
_cell_angle_beta 114.29
_cell_angle_gamma 90.00
loop_
_atom_site_label
_atom_site_type_symbol
_atom_site_fract_x
_atom_site_fract_y
_atom_site_fract_z
_atom_site_occupancy
Tb1 Tb 0.0000 0.0000 0.0000 1
Tb2 Tb 0.3983 0.1275 0.7674 1
Te1 Te 0.1877 0.6427 0.9148 1
C1 C 0.3475 0.1127 0.0642 1
```

---

[4]
This entry pairs a crystal structure of LaPr2SbN4 with its theoretical powder diffraction line list. Radiation: CuKα. Structure: the GGA-PBE geometry in Alexandria.
Neutral-atom scattering factors, no anomalous dispersion.

Most intense lines, 2θ from 10° to 90°, low angle first:
2theta, I/Imax, index
25.9, 15.5, 0 2 3
28.6, 100.0, 0 0 4
29.4, 32.9, 0 4 0
33.2, 14.2, 1 3 1
35.5, 56.4, 1 3 2
41.5, 17.8, 0 4 4
46.8, 12.7, 1 5 2
48.2, 13.9, 2 0 0
49.2, 10.7, 1 3 5
57.5, 10.2, 2 4 0

Atomic structure:
```
data_LaPr2SbN4
_chemical_formula_sum 'La4 Pr8 Sb4 N16'
_space_group_name_H-M_alt 'C m c m'
_space_group_IT_number 63
_space_group_name_Hall '-C 2c 2'
_cell_length_a 3.7757
_cell_length_b 12.1551
_cell_length_c 12.4847
_cell_angle_alpha 90.00
_cell_angle_beta 90.00
_cell_angle_gamma 90.00
loop_
_atom_site_label
_atom_site_type_symbol
_atom_site_fract_x
_atom_site_fract_y
_atom_site_fract_z
_atom_site_occupancy
La1 La 0.0000 0.1063 0.2500 1
Pr1 Pr 0.0000 0.3706 0.0379 1
Sb1 Sb 0.0000 0.1566 0.7500 1
N1 N 0.0000 0.0000 0.0000 1
N2 N 0.0000 0.2787 0.6331 1
N3 N 0.0000 0.4299 0.2500 1
```

---

[5]
This entry pairs a crystal structure of Rb2PuMg3F12 with its theoretical powder diffraction line list. Radiation: CuKα. Structure: the GGA-PBE geometry in Alexandria.
Neutral-atom scattering factors, no anomalous dispersion.

Most intense lines, 2θ from 10° to 90°, low angle first:
2theta, I/Imax, index
14.5, 57.4, 1 0 1
16.7, 100.0, 0 1 2
23.9, 65.7, 1 1 0
27.5, 79.2, 0 1 5
27.8, 78.9, 1 1 3
29.2, 46.3, 2 0 2
36.7, 44.9, 2 0 5
38.1, 32.1, 1 2 2
48.8, 34.9, 2 2 0
50.5, 27.6, 1 0 10

Atomic structure:
```
data_Rb2PuMg3F12
_chemical_formula_sum 'Rb6 Pu3 Mg9 F36'
_space_group_name_H-M_alt 'R -3 m'
_space_group_IT_number 166
_space_group_name_Hall '-R 3 2"'
_cell_length_a 7.4597
_cell_length_b 7.4597
_cell_length_c 18.7931
_cell_angle_alpha 90.00
_cell_angle_beta 90.00
_cell_angle_gamma 120.00
loop_
_atom_site_label
_atom_site_type_symbol
_atom_site_fract_x
_atom_site_fract_y
_atom_site_fract_z
_atom_site_occupancy
Rb1 Rb 0.0000 0.0000 0.0960 1
Pu1 Pu 0.0000 0.0000 0.5000 1
Mg1 Mg 0.0000 0.5000 0.0000 1
F1 F 0.0411 0.5205 0.1103 1
F2 F 0.0766 0.5383 0.3401 1
```

---

[6]
This entry pairs a crystal structure of KYAgS2 with its theoretical powder diffraction line list. Radiation: CuKα. Structure: the GGA-PBE geometry in Alexandria.
Neutral-atom scattering factors, no anomalous dispersion.

Most intense lines, 2θ from 10° to 90°, low angle first:
2theta, I/Imax, index
12.2, 100.0, 1 0 0
24.5, 23.0, 2 0 0
29.4, 17.3, 0 1 2
30.3, 44.1, 1 1 -2
33.4, 40.2, 1 1 2
35.9, 25.1, 2 1 -2
37.6, 21.1, 1 2 0
41.1, 17.6, 2 1 2
43.6, 12.3, 2 2 0
44.7, 18.3, 3 1 -2

Atomic structure:
```
data_KYAgS2
_chemical_formula_sum 'K2 Y2 Ag2 S4'
_space_group_name_H-M_alt 'P 1 2/c 1'
_space_group_IT_number 13
_space_group_name_Hall '-P 2yc'
_cell_length_a 7.3702
_cell_length_b 5.0629
_cell_length_c 7.7042
_cell_angle_alpha 90.00
_cell_angle_beta 99.45
_cell_angle_gamma 90.00
loop_
_atom_site_label
_atom_site_type_symbol
_atom_site_fract_x
_atom_site_fract_y
_atom_site_fract_z
_atom_site_occupancy
K1 K 0.0000 0.1420 0.2500 1
Y1 Y 0.5000 0.4935 0.7500 1
Ag1 Ag 0.5000 0.0000 0.0000 1
S1 S 0.2577 0.3688 0.9634 1
```

---

[7]
This entry pairs a crystal structure of CaPm5Dy2 with its theoretical powder diffraction line list. Radiation: CuKα. Structure: the GGA-PBE geometry in Alexandria.
Neutral-atom scattering factors, no anomalous dispersion.

Most intense lines, 2θ from 10° to 90°, low angle first:
2theta, I/Imax, index
27.7, 22.9, 1 1 4
28.3, 38.3, 0 3 3
29.5, 100.0, 1 3 2
29.7, 44.1, 2 0 0
31.4, 75.6, 1 0 5
33.5, 25.4, 2 2 0
35.0, 75.7, 1 2 5
38.1, 26.5, 1 4 3
44.7, 28.7, 2 4 2
55.4, 32.3, 2 3 7

Atomic structure:
```
data_CaPm5Dy2
_chemical_formula_sum 'Ca4 Pm20 Dy8'
_space_group_name_H-M_alt 'I m m a'
_space_group_IT_number 74
_space_group_name_Hall '-I 2b 2'
_cell_length_a 6.0245
_cell_length_b 11.6714
_cell_length_c 16.1648
_cell_angle_alpha 90.00
_cell_angle_beta 90.00
_cell_angle_gamma 90.00
loop_
_atom_site_label
_atom_site_type_symbol
_atom_site_fract_x
_atom_site_fract_y
_atom_site_fract_z
_atom_site_occupancy
Ca1 Ca 0.0000 0.2500 0.0958 1
Pm1 Pm 0.0000 0.0641 0.8942 1
Pm2 Pm 0.0000 0.0804 0.3046 1
Pm3 Pm 0.0000 0.2500 0.5512 1
Dy1 Dy 0.0000 0.0000 0.5000 1
Dy2 Dy 0.2500 0.2500 0.7500 1
```

---

[8]
This entry pairs a crystal structure of TlCu5Pd4 with its theoretical powder diffraction line list. Radiation: CuKα. Structure: the GGA-PBE geometry in Alexandria.
Neutral-atom scattering factors, no anomalous dispersion.

Most intense lines, 2θ from 10° to 90°, low angle first:
2theta, I/Imax, index
26.0, 29.2, 1 1 1
32.1, 20.6, 1 1 -2
33.4, 17.7, 1 1 2
38.5, 21.0, 3 1 1
38.8, 29.6, 4 0 0
41.5, 100.0, 3 1 -2
41.9, 49.3, 0 2 0
43.1, 29.0, 1 1 3
44.5, 25.9, 3 1 2
58.4, 17.6, 4 2 0

Atomic structure:
```
data_TlCu5Pd4
_chemical_formula_sum 'Tl2 Cu10 Pd8'
_space_group_name_H-M_alt 'C 1 2/m 1'
_space_group_IT_number 12
_space_group_name_Hall '-C 2y'
_cell_length_a 9.3358
_cell_length_b 4.3157
_cell_length_c 7.6611
_cell_angle_alpha 90.00
_cell_angle_beta 95.10
_cell_angle_gamma 90.00
loop_
_atom_site_label
_atom_site_type_symbol
_atom_site_fract_x
_atom_site_fract_y
_atom_site_fract_z
_atom_site_occupancy
Tl1 Tl 0.0000 0.0000 0.0000 1
Cu1 Cu 0.0000 0.0000 0.5000 1
Cu2 Cu 0.1930 0.5000 0.9310 1
Cu3 Cu 0.2430 0.5000 0.5837 1
Pd1 Pd 0.0267 0.5000 0.3114 1
Pd2 Pd 0.1894 0.0000 0.7499 1
```